Starting from a crystal structure in the Materials Project, relaxed with GGA-PBE, the powder diffraction line list of KSr4B3O9 was computed for Cu Kα (λ = 1.5418 Å).
No peak broadening, texture or thermal motion is included.

Peak list (10 most intense, 2θ = 10–80°, by angle)
d [Å], intensity
5.317, 28
3.168, 29
3.018, 24
2.958, 60
2.916, 36
2.791, 47
2.658, 100
2.286, 30
2.180, 32
1.604, 23

Atomic structure:
```
data_KSr4B3O9
_space_group_name_H-M_alt 'A m a 2'
_space_group_IT_number 40
_cell_length_a 11.1653
_cell_length_b 12.1088
_cell_length_c 6.9616
_cell_angle_alpha 90.00
_cell_angle_beta 90.00
_cell_angle_gamma 90.00
loop_
_space_group_symop_operation_xyz
'x,y,z'
'-x,-y,z'
'-x+1/2,y,z'
'x+1/2,-y,z'
'x,y+1/2,z+1/2'
'-x,-y+1/2,z+1/2'
'-x+1/2,y+1/2,z+1/2'
'x+1/2,-y+1/2,z+1/2'
loop_
_atom_site_label
_atom_site_fract_x
_atom_site_fract_y
_atom_site_fract_z
K1 0.2500 0.0829 0.0000
Sr1 0.0000 0.0000 0.4503
Sr2 0.0308 0.2851 0.5960
Sr3 0.2500 0.3553 0.2277
B1 0.0000 0.0000 0.8800
B2 0.2500 0.1255 0.4262
B3 0.2500 0.3297 0.8078
O1 0.0000 0.0000 0.0787
O2 0.0273 0.4029 0.2801
O3 0.1421 0.1658 0.3452
O4 0.1421 0.3143 0.9084
O5 0.2500 0.0478 0.5700
O6 0.2500 0.3527 0.6132
```